[1]
Starting from a crystal structure in OQMD, relaxed with GGA-PBE, the powder XRD pattern of Cs2PtC4N4Cl2 was simulated for Cu Kα.
Lines closer than 0.1° are merged.

Largest 12 diffraction maxima, by angle, 2θ from 15° to 90°:
| 2theta | I_rel |
| --- | --- |
| 19.60 | 51 |
| 20.18 | 100 |
| 23.36 | 77 |
| 23.98 | 31 |
| 30.95 | 34 |
| 31.16 | 62 |
| 32.51 | 19 |
| 32.78 | 24 |
| 38.60 | 16 |
| 41.02 | 17 |
| 47.01 | 18 |
| 47.78 | 22 |

Structure:
```
Cs2PtC4N4Cl2
1.0
8.899 -3.711 0.000
8.899 3.711 0.000
-8.041 0.000 9.057
Cs Pt C N Cl
4 2 8 8 4
Direct
0.167 0.175 0.039
0.175 0.167 0.539
0.825 0.833 0.461
0.833 0.825 0.961
0.500 0.500 0.000
0.500 0.500 0.500
0.259 0.617 0.335
0.362 0.391 0.475
0.383 0.741 0.165
0.391 0.362 0.975
0.609 0.638 0.025
0.617 0.259 0.835
0.638 0.609 0.525
0.741 0.383 0.665
0.118 0.685 0.239
0.277 0.331 0.459
0.315 0.882 0.261
0.331 0.277 0.959
0.669 0.723 0.041
0.685 0.118 0.739
0.723 0.669 0.541
0.882 0.315 0.761
0.186 0.667 0.828
0.333 0.814 0.672
0.667 0.186 0.328
0.814 0.333 0.172
```



[2]
Starting from a crystal structure in OQMD, relaxed with GGA-PBE, the powder XRD pattern of CsOsC3Cl3O3 was simulated for Cu Kα.
Lines closer than 0.1° are merged.

Largest 12 diffraction maxima, by angle, 2θ from 15° to 90°:
| 2theta | I_rel |
| --- | --- |
| 15.37 | 100 |
| 15.54 | 72 |
| 17.93 | 45 |
| 18.47 | 35 |
| 18.73 | 37 |
| 20.43 | 55 |
| 20.66 | 37 |
| 20.91 | 61 |
| 21.12 | 71 |
| 23.88 | 53 |
| 30.86 | 63 |
| 31.82 | 88 |

Structure:
```
CsOsC3Cl3O3
1.0
9.898 0.000 0.000
0.000 9.091 0.000
-0.197 0.000 11.101
Cs Os C Cl O
4 4 12 12 12
Direct
0.119 0.246 0.042
0.119 0.254 0.542
0.881 0.746 0.458
0.881 0.754 0.958
0.294 0.618 0.791
0.294 0.882 0.291
0.706 0.118 0.709
0.706 0.382 0.209
0.274 0.675 0.291
0.274 0.825 0.791
0.369 0.619 0.635
0.369 0.881 0.135
0.467 0.629 0.866
0.467 0.871 0.366
0.533 0.129 0.634
0.533 0.371 0.134
0.631 0.119 0.865
0.631 0.381 0.365
0.726 0.175 0.209
0.726 0.325 0.709
0.066 0.586 0.707
0.066 0.914 0.207
0.195 0.609 0.990
0.195 0.891 0.490
0.314 0.149 0.296
0.314 0.351 0.796
0.686 0.649 0.204
0.686 0.851 0.704
0.805 0.109 0.510
0.805 0.391 0.010
0.934 0.086 0.793
0.934 0.414 0.293
0.263 0.548 0.294
0.263 0.952 0.794
0.415 0.616 0.540
0.415 0.884 0.040
0.429 0.132 0.586
0.429 0.368 0.086
0.571 0.632 0.914
0.571 0.868 0.414
0.585 0.116 0.960
0.585 0.384 0.460
0.737 0.048 0.206
0.737 0.452 0.706
```